Record 1
Starting from a cell relaxed with GGA-PBE, the X-ray powder pattern of Mg2MnFeGe2 was calculated for Cu Kα, 1.54184 Å.
Peak positions follow from Bragg's law for the DFT cell and can differ from measured ones.

Cell and atoms:
Unit cell a=5.432 b=13.096 c=5.433 alpha=90.00 beta=90.00 gamma=90.00
Space group Ibam (No. 72)
One atom of each set of equivalent atoms:
Mg (0.249, 0.167, 0.000) x8
Mn (0.000, 0.500, 0.250) x4
Fe (0.000, 0.000, 0.250) x4
Ge (0.249, 0.121, 0.500) x8

Peak list (10 most intense, 2θ = 5–70°, by intensity)
Position (°2θ), I_rel, (hkl)
43.28, 100, 2 4 0
13.52, 55, 0 2 0
26.91, 49, 1 2 1
47.33, 46, 2 0 2
35.79, 37, 2 2 0
47.94, 20, 1 6 1
69.17, 14, 4 0 0
55.28, 13, 3 2 1
69.65, 13, 3 6 1
32.98, 10, 2 0 0

---

Record 2
Starting from a cell relaxed with GGA-PBE, the X-ray powder pattern of AcNd4Sm4 was calculated for Cu Kα, 1.54184 Å.
Peak positions follow from Bragg's law for the DFT cell and can differ from measured ones.

Cell and atoms:
Unit cell a=11.085 b=11.085 c=5.222 alpha=90.00 beta=90.00 gamma=90.00
Space group I4/mmm (No. 139)
One atom of each set of equivalent atoms:
Ac (0.000, 0.000, 0.000) x2
Nd (0.170, 0.170, 0.500) x8
Sm (0.000, 0.337, 0.000) x8

Peak list (10 most intense, 2θ = 5–70°, by intensity)
Position (°2θ), I_rel, (hkl)
29.62, 100, 3 0 1
34.33, 51, 0 0 2
58.60, 44, 3 0 3
49.34, 37, 3 3 2
61.48, 13, 6 0 2
18.78, 1, 1 0 1
24.76, 1, 2 1 1
47.48, 1, 5 2 1
22.69, 1, 2 2 0
15.99, 1, 2 0 0

---

Record 3
Starting from a cell relaxed with GGA-PBE, the X-ray powder pattern of Nb5Ga2Pd12 was calculated for Cu Kα, 1.54184 Å.
Peak positions follow from Bragg's law for the DFT cell and can differ from measured ones.

Cell and atoms:
Unit cell a=15.091 b=5.330 c=8.877 alpha=90.00 beta=106.47 gamma=90.00
Space group C2/m (No. 12)
One atom of each set of equivalent atoms:
Nb (0.000, 0.000, 0.000) x2
Nb (0.131, 0.500, 0.362) x4
Nb (0.184, 0.500, 0.858) x4
Ga (0.000, 0.253, 0.500) x4
Pd (0.014, 0.500, 0.859) x4
Pd (0.083, 0.000, 0.771) x4
Pd (0.158, 0.251, 0.105) x8
Pd (0.202, 0.242, 0.613) x8

Peak list (10 most intense, 2θ = 5–70°, by intensity)
Position (°2θ), I_rel, (hkl)
39.97, 100, 2 2 -2
41.69, 84, 6 0 1
37.28, 54, 6 0 0
40.66, 49, 2 0 -4
43.74, 46, 2 2 2
45.29, 46, 4 2 1
43.95, 39, 4 2 -2
35.91, 37, 2 2 0
41.35, 36, 5 1 -3
36.89, 33, 4 0 2

---

Record 4
Starting from a cell relaxed with GGA-PBE, the X-ray powder pattern of Tm8Cd2Hg was calculated for Cu Kα, 1.54184 Å.
Peak positions follow from Bragg's law for the DFT cell and can differ from measured ones.

Cell and atoms:
Unit cell a=17.763 b=5.157 c=7.021 alpha=90.00 beta=106.84 gamma=90.00
Space group C2/m (No. 12)
One atom of each set of equivalent atoms:
Tm (0.023, 0.000, 0.263) x4
Tm (0.093, 0.500, 0.959) x4
Tm (0.165, 0.500, 0.463) x4
Tm (0.197, 0.000, 0.800) x4
Cd (0.186, 0.000, 0.212) x4
Hg (0.000, 0.500, 0.500) x2

Peak list (10 most intense, 2θ = 5–70°, by intensity)
Position (°2θ), I_rel, (hkl)
33.50, 100, 1 1 2
34.79, 96, 0 2 0
31.10, 88, 5 1 -1
30.91, 78, 1 1 -2
31.53, 69, 5 1 0
36.15, 46, 5 1 -2
29.09, 29, 3 1 1
39.68, 28, 4 0 -3
61.02, 28, 11 1 -2
37.86, 20, 6 0 1